Theoretical powder X-ray diffraction pattern of Rb2Tl15Bi2 for CuKα, from a cell relaxed with GGA-PBE.

Top 10 peaks for 15 to 90 degrees two-theta, in order of rising 2θ:
2θ (°)  intensity
15.2  24
27.4  20
30.8  51
31.0  75
31.5  37
31.7  20
34.7  100
35.2  34
54.7  24
55.8  26

Structure:
```
19
Lattice="5.815 3.357 5.673 -5.815 3.357 5.673 0.000 -6.715 5.673" Properties=species:S:1:pos:R:3 pbc="T T T"
Rb 0.000 0.000 2.730
Rb 0.000 0.000 14.288
Tl -2.908 -1.679 5.673
Tl 0.000 -3.327 5.449
Tl -2.881 1.663 5.449
Tl -1.701 -2.947 8.509
Tl -3.402 0.000 8.509
Tl -2.881 -1.663 11.569
Tl -2.908 1.679 11.346
Tl 1.701 -2.947 8.509
Tl 0.000 3.357 5.673
Tl -1.701 2.947 8.509
Tl 2.881 1.663 5.449
Tl 3.402 0.000 8.509
Tl 1.701 2.947 8.509
Tl 2.881 -1.663 11.569
Tl 0.000 3.327 11.569
Bi 0.000 0.000 6.871
Bi 0.000 0.000 10.147
```